1.
Sm4YTm2Sc: computed PXRD pattern (Cu Kα X-rays), based on a cell relaxed with PBE.

Structural model:
Cell: 5.048 5.048 9.833 Å, 90.00 90.00 90.00°
Positions (direct):
1 Sm 0.000 0.500 0.244
2 Sm 0.000 0.500 0.756
3 Sm 0.500 0.000 0.244
4 Sm 0.500 0.000 0.756
5 Y 0.000 0.000 0.500
6 Tm 0.000 0.000 0.000
7 Tm 0.500 0.500 0.500
8 Sc 0.500 0.500 0.000

Peak list (8 most intense, 10 to 90 degrees two-theta, by angle)
2θ/deg  I/Imax
30.96  100.0
35.57  34.6
36.55  15.8
51.18  12.2
51.92  23.1
61.02  28.7
62.35  13.1
64.52  12.0

2.
Sm2Y5Sc: computed PXRD pattern (Cu Kα X-rays), based on a cell relaxed with PBE.

Structural model:
Cell: 6.076 8.760 9.689 Å, 84.86 87.15 83.86°
Positions (direct):
1 Sm 0.000 0.000 0.000
2 Sm 0.082 0.262 0.254
3 Sm 0.555 0.200 0.438
4 Sm 0.647 0.691 0.970
5 Y 0.039 0.153 0.619
6 Y 0.118 0.393 0.881
7 Y 0.178 0.634 0.140
8 Y 0.460 0.827 0.550
9 Y 0.520 0.064 0.809
10 Y 0.598 0.307 0.072
11 Y 0.635 0.461 0.692
12 Y 0.671 0.573 0.322
13 Y 0.964 0.886 0.371
14 Y 0.994 0.765 0.726
15 Sc 0.160 0.513 0.498
16 Sc 0.475 0.946 0.195

Peak list (8 most intense, 10 to 90 degrees two-theta, by angle)
2θ/deg  I/Imax
29.60  50.1
31.42  70.5
31.52  100.0
31.84  86.3
32.39  43.8
33.13  62.9
33.48  78.7
34.87  35.4

3.
Sm3Y4Sc4: computed PXRD pattern (Cu Kα X-rays), based on a cell relaxed with PBE.

Structural model:
Cell: 10.233 6.530 6.530 Å, 49.86 90.00 90.00°
Positions (direct):
1 Sm 0.000 0.000 0.000
2 Sm 0.308 0.137 0.137
3 Sm 0.692 0.137 0.137
4 Y 0.000 0.298 0.298
5 Y 0.280 0.835 0.835
6 Y 0.500 0.373 0.373
7 Y 0.720 0.835 0.835
8 Sc 0.000 0.688 0.688
9 Sc 0.214 0.505 0.505
10 Sc 0.500 0.635 0.635
11 Sc 0.786 0.505 0.505

Peak list (8 most intense, 10 to 90 degrees two-theta, by angle)
2θ/deg  I/Imax
17.77  21.0
31.45  18.0
31.77  41.0
32.53  38.6
32.95  100.0
35.06  18.2
45.91  19.1
58.30  21.9

4.
Sm4Y7Sc: computed PXRD pattern (Cu Kα X-rays), based on a cell relaxed with PBE.

Structural model:
Cell: 6.534 6.796 9.054 Å, 86.14 77.11 82.46°
Positions (direct):
1 Sm 0.134 0.309 0.282
2 Sm 0.347 0.884 0.697
3 Sm 0.653 0.116 0.303
4 Sm 0.866 0.691 0.718
5 Y 0.022 0.248 0.951
6 Y 0.189 0.807 0.353
7 Y 0.308 0.395 0.614
8 Y 0.500 0.500 0.000
9 Y 0.692 0.605 0.386
10 Y 0.811 0.193 0.647
11 Y 0.978 0.752 0.049
12 Sc 0.500 0.000 0.000

Peak list (8 most intense, 10 to 90 degrees two-theta, by angle)
2θ/deg  I/Imax
30.41  51.3
31.03  52.1
31.57  78.5
31.67  76.6
32.08  100.0
32.61  46.9
32.75  26.8
57.02  19.7

5.
Sm3Y4Sc2: computed PXRD pattern (Cu Kα X-rays), based on a cell relaxed with PBE.

Structural model:
Cell: 9.864 9.864 6.695 Å, 95.01 95.01 60.72°
Positions (direct):
1 Sm 0.006 0.994 0.750
2 Sm 0.297 0.398 0.766
3 Sm 0.398 0.297 0.266
4 Sm 0.602 0.703 0.734
5 Sm 0.703 0.602 0.234
6 Sm 0.994 0.006 0.250
7 Y 0.065 0.312 0.389
8 Y 0.299 0.669 0.486
9 Y 0.312 0.065 0.889
10 Y 0.331 0.701 0.014
11 Y 0.669 0.299 0.986
12 Y 0.688 0.935 0.111
13 Y 0.701 0.331 0.514
14 Y 0.935 0.688 0.611
15 Sc 0.047 0.618 0.127
16 Sc 0.382 0.953 0.373
17 Sc 0.618 0.047 0.627
18 Sc 0.953 0.382 0.873

Peak list (8 most intense, 10 to 90 degrees two-theta, by angle)
2θ/deg  I/Imax
18.06  40.6
30.28  28.1
31.09  53.7
31.23  100.0
31.71  96.1
32.33  55.1
33.41  32.7
33.82  55.9

6.
SmY3Sc: computed PXRD pattern (Cu Kα X-rays), based on a cell relaxed with PBE.

Structural model:
Cell: 3.526 7.852 11.695 Å, 78.21 89.90 77.14°
Positions (direct):
1 Sm 0.245 0.009 0.245
2 Sm 0.755 0.991 0.755
3 Y 0.050 0.400 0.654
4 Y 0.144 0.213 0.952
5 Y 0.350 0.799 0.551
6 Y 0.650 0.201 0.449
7 Y 0.856 0.787 0.048
8 Y 0.950 0.600 0.346
9 Sc 0.450 0.598 0.851
10 Sc 0.550 0.402 0.149

Peak list (8 most intense, 10 to 90 degrees two-theta, by angle)
2θ/deg  I/Imax
31.07  100.0
31.15  98.0
35.99  33.2
36.09  33.3
36.14  32.3
51.89  44.8
61.76  26.4
61.88  26.0

7.
SmYSc6: computed PXRD pattern (Cu Kα X-rays), based on a cell relaxed with PBE.

Structural model:
Cell: 6.808 6.808 5.320 Å, 90.00 90.00 120.00°
Positions (direct):
1 Sm 0.000 0.000 0.000
2 Y 0.667 0.333 0.500
3 Sc 0.009 0.505 0.000
4 Sc 0.171 0.343 0.500
5 Sc 0.171 0.829 0.500
6 Sc 0.495 0.505 0.000
7 Sc 0.495 0.991 0.000
8 Sc 0.657 0.829 0.500

Peak list (8 most intense, 10 to 90 degrees two-theta, by angle)
2θ/deg  I/Imax
22.51  29.4
30.32  25.2
33.69  24.3
34.79  100.0
45.95  15.2
53.86  17.6
60.97  18.0
65.06  19.3

8.
Sm8YSc5: computed PXRD pattern (Cu Kα X-rays), based on a cell relaxed with PBE.

Structural model:
Cell: 8.293 8.293 8.293 Å, 111.31 111.31 105.85°
Positions (direct):
1 Sm 0.080 0.338 0.604
2 Sm 0.157 0.423 0.078
3 Sm 0.345 0.079 0.922
4 Sm 0.525 0.920 0.258
5 Sm 0.577 0.655 0.734
6 Sm 0.662 0.267 0.742
7 Sm 0.733 0.475 0.396
8 Sm 0.921 0.843 0.266
9 Y 0.250 0.750 0.500
10 Sc 0.038 0.730 0.909
11 Sc 0.270 0.179 0.307
12 Sc 0.500 0.500 0.000
13 Sc 0.821 0.129 0.091
14 Sc 0.871 0.962 0.693

Peak list (8 most intense, 10 to 90 degrees two-theta, by angle)
2θ/deg  I/Imax
23.04  89.0
28.43  81.6
30.01  68.7
30.20  76.8
34.40  100.0
35.25  79.6
35.75  74.0
57.43  36.9

What did the fifth record say?
Sm3Y4Sc2: computed PXRD pattern (Cu Kα X-rays), based on a cell relaxed with PBE.

Structural model:
Cell: 9.864 9.864 6.695 Å, 95.01 95.01 60.72°
Positions (direct):
1 Sm 0.006 0.994 0.750
2 Sm 0.297 0.398 0.766
3 Sm 0.398 0.297 0.266
4 Sm 0.602 0.703 0.734
5 Sm 0.703 0.602 0.234
6 Sm 0.994 0.006 0.250
7 Y 0.065 0.312 0.389
8 Y 0.299 0.669 0.486
9 Y 0.312 0.065 0.889
10 Y 0.331 0.701 0.014
11 Y 0.669 0.299 0.986
12 Y 0.688 0.935 0.111
13 Y 0.701 0.331 0.514
14 Y 0.935 0.688 0.611
15 Sc 0.047 0.618 0.127
16 Sc 0.382 0.953 0.373
17 Sc 0.618 0.047 0.627
18 Sc 0.953 0.382 0.873

Peak list (8 most intense, 10 to 90 degrees two-theta, by angle)
2θ/deg  I/Imax
18.06  40.6
30.28  28.1
31.09  53.7
31.23  100.0
31.71  96.1
32.33  55.1
33.41  32.7
33.82  55.9